Starting from a cell relaxed with GGA-PBE, the X-ray powder pattern of K5H3S5O14 was calculated for Cu Kα X-rays.
Lines closer than 0.1° are merged.

Structural model:
a b c (Å): 10.8339 10.8339 15.0828
angles (deg): 104.89 104.89 32.46
Fractional coordinates of all 54 atoms:
K: 0.0000 0.0000 0.0000
K: 0.0000 0.0000 0.5000
K: 0.2053 0.2053 0.1286
K: 0.2242 0.2242 0.6183
K: 0.4121 0.4121 0.2821
K: 0.4278 0.4278 0.8018
K: 0.5722 0.5722 0.1982
K: 0.5879 0.5879 0.7179
K: 0.7758 0.7758 0.3817
K: 0.7947 0.7947 0.8714
H: 0.1149 0.1149 0.8519
H: 0.3275 0.3275 0.0197
H: 0.4097 0.4097 0.5735
H: 0.5903 0.5903 0.4265
H: 0.6725 0.6725 0.9803
H: 0.8851 0.8851 0.1481
S: 0.0418 0.0418 0.2883
S: 0.1581 0.1581 0.3392
S: 0.1802 0.1802 0.8503
S: 0.3705 0.3705 0.4853
S: 0.3912 0.3912 0.0123
S: 0.6088 0.6088 0.9877
S: 0.6295 0.6295 0.5147
S: 0.8198 0.8198 0.1497
S: 0.8419 0.8419 0.6608
S: 0.9582 0.9582 0.7117
O: 0.0140 0.6093 0.1999
O: 0.0256 0.0256 0.1862
O: 0.0323 0.6234 0.7094
O: 0.1861 0.7780 0.6749
O: 0.1866 0.5915 0.4433
O: 0.1952 0.5982 0.9598
O: 0.2190 0.2190 0.9470
O: 0.2220 0.8139 0.3251
O: 0.3013 0.3013 0.4907
O: 0.3766 0.9677 0.2906
O: 0.3907 0.9860 0.8001
O: 0.4018 0.8048 0.0402
O: 0.4085 0.8134 0.5567
O: 0.4352 0.4352 0.1063
O: 0.5648 0.5648 0.8937
O: 0.5915 0.1866 0.4433
O: 0.5982 0.1952 0.9598
O: 0.6093 0.0140 0.1999
O: 0.6234 0.0323 0.7094
O: 0.6987 0.6987 0.5093
O: 0.7780 0.1861 0.6749
O: 0.7810 0.7810 0.0530
O: 0.8048 0.4018 0.0402
O: 0.8134 0.4085 0.5567
O: 0.8139 0.2220 0.3251
O: 0.9677 0.3766 0.2906
O: 0.9744 0.9744 0.8138
O: 0.9860 0.3907 0.8001

Largest 10 diffraction maxima, in order of rising 2θ, 2θ = 10–90°:
21.75 deg, rel. 24
23.71 deg, rel. 31
25.13 deg, rel. 37
26.16 deg, rel. 20
26.67 deg, rel. 100
28.70 deg, rel. 59
29.50 deg, rel. 30
39.86 deg, rel. 20
41.14 deg, rel. 22
41.32 deg, rel. 18

Starting from a cell relaxed with GGA-PBE, the X-ray powder pattern of KTiH2S2O9 was calculated for Cu Kα X-rays.
Lines closer than 0.1° are merged.

Structural model:
a b c (Å): 7.8869 5.3106 9.3258
angles (deg): 90.00 100.93 90.00
Fractional coordinates of all 30 atoms:
K: 0.0635 0.2500 0.2202
K: 0.9365 0.7500 0.7798
Ti: 0.4237 0.7500 0.7694
Ti: 0.5763 0.2500 0.2306
H: 0.3344 0.7500 0.4715
H: 0.4552 0.2500 0.4895
H: 0.5448 0.7500 0.5105
H: 0.6656 0.2500 0.5285
S: 0.1769 0.2500 0.6451
S: 0.3312 0.7500 0.1087
S: 0.6688 0.2500 0.8913
S: 0.8231 0.7500 0.3549
O: 0.0109 0.7500 0.3821
O: 0.1451 0.7500 0.0575
O: 0.2411 0.0217 0.7387
O: 0.2411 0.4783 0.7387
O: 0.2512 0.2500 0.5115
O: 0.3829 0.5217 0.2037
O: 0.3829 0.9783 0.2037
O: 0.4329 0.7500 0.9897
O: 0.4350 0.7500 0.5505
O: 0.5650 0.2500 0.4495
O: 0.5671 0.2500 0.0103
O: 0.6171 0.0217 0.7963
O: 0.6171 0.4783 0.7963
O: 0.7488 0.7500 0.4885
O: 0.7589 0.5217 0.2613
O: 0.7589 0.9783 0.2613
O: 0.8549 0.2500 0.9425
O: 0.9891 0.2500 0.6179

Largest 10 diffraction maxima, in order of rising 2θ, 2θ = 10–90°:
11.43 deg, rel. 36
13.50 deg, rel. 45
19.38 deg, rel. 54
20.58 deg, rel. 49
23.44 deg, rel. 86
24.39 deg, rel. 37
28.53 deg, rel. 100
28.70 deg, rel. 33
33.76 deg, rel. 59
33.88 deg, rel. 62